TbMg3Ag: simulated X-ray diffraction stick pattern (Cu Ka), based on a structure optimized by DFT (GGA-PBE).
Kinematic intensities with the Lorentz-polarization factor, no thermal factor.

Largest 10 diffraction maxima, low angle first, 10° ≤ 2θ ≤ 80°:
| hkl | Position (°2θ) | intensity |
| --- | --- | --- |
| 1 1 0 | 12.57 | 36.2 |
| 0 0 1 | 19.96 | 75.8 |
| 2 2 0 | 25.30 | 69.0 |
| 2 2 1 | 32.43 | 100.0 |
| 0 4 1 | 35.32 | 52.7 |
| 3 3 0 | 38.35 | 33.7 |
| 0 0 2 | 40.56 | 31.3 |
| 3 3 1 | 43.60 | 29.9 |
| 3 3 2 | 57.05 | 26.7 |
| 3 7 1 | 65.53 | 25.7 |

Structure:
Lattice parameters (Å, degrees): 8.561 12.384 4.448 90.00 90.00 90.00
Space group Cmmm (No. 65)
Asymmetric unit:
Tb 0.000 0.215 0.000 (multiplicity 4)
Mg 0.000 0.000 0.500 (multiplicity 2)
Mg 0.000 0.500 0.000 (multiplicity 2)
Mg 0.193 0.368 0.500 (multiplicity 8)
Ag 0.190 0.000 0.000 (multiplicity 4)



Na2B3C: simulated X-ray diffraction stick pattern (Cu Ka), based on a structure optimized by DFT (GGA-PBE).
Kinematic intensities with the Lorentz-polarization factor, no thermal factor.

Largest 10 diffraction maxima, low angle first, 10° ≤ 2θ ≤ 80°:
| hkl | Position (°2θ) | intensity |
| --- | --- | --- |
| 2 0 2 | 34.47 | 8.9 |
| 1 1 1 | 36.17 | 12.3 |
| 0 0 4 | 40.50 | 36.0 |
| 4 0 -4 | 41.98 | 100.0 |
| 3 1 -5 | 56.55 | 7.0 |
| 3 1 3 | 62.86 | 12.6 |
| 0 2 0 | 66.12 | 5.7 |
| 6 0 2 | 76.48 | 4.8 |
| 7 1 -5 | 76.64 | 9.3 |
| 7 1 -1 | 78.46 | 12.0 |

Structure:
Lattice parameters (Å, degrees): 10.064 2.826 10.068 90.00 117.74 90.00
Space group P2/m (No. 10)
Asymmetric unit:
Na 0.000 0.000 0.000 (multiplicity 1)
Na 0.000 0.500 0.500 (multiplicity 1)
Na 0.249 0.000 0.750 (multiplicity 2)
Na 0.250 0.500 0.254 (multiplicity 2)
Na 0.500 0.000 0.500 (multiplicity 1)
Na 0.500 0.500 0.000 (multiplicity 1)
B 0.048 0.500 0.797 (multiplicity 2)
B 0.055 0.000 0.306 (multiplicity 2)
B 0.211 0.500 0.960 (multiplicity 2)
B 0.226 0.000 0.475 (multiplicity 2)
B 0.314 0.000 0.065 (multiplicity 2)
B 0.458 0.500 0.706 (multiplicity 2)
C 0.303 0.500 0.551 (multiplicity 2)
C 0.464 0.000 0.216 (multiplicity 2)



Sm6PbS8: simulated X-ray diffraction stick pattern (Cu Ka), based on a structure optimized by DFT (GGA-PBE).
Kinematic intensities with the Lorentz-polarization factor, no thermal factor.

Largest 10 diffraction maxima, low angle first, 10° ≤ 2θ ≤ 80°:
| hkl | Position (°2θ) | intensity |
| --- | --- | --- |
| 1 0 1 | 11.16 | 27.7 |
| 0 2 1 | 18.71 | 19.3 |
| 0 0 3 | 21.30 | 37.0 |
| 2 1 1 | 24.05 | 100.0 |
| 3 -2 2 | 27.07 | 42.1 |
| 4 -1 2 | 34.66 | 20.0 |
| 2 1 4 | 36.94 | 48.9 |
| 1 4 0 | 40.32 | 28.9 |
| 3 -2 5 | 43.01 | 19.9 |
| 1 4 3 | 46.05 | 19.8 |

Structure:
Lattice parameters (Å, degrees): 11.8354 11.8354 12.5138 90.00 90.00 120.00
Space group R-3 (No. 148, hexagonal axes)
Asymmetric unit:
Sm 0.0115 0.1936 0.1295 (multiplicity 18)
Pb 0.0000 0.0000 0.5000 (multiplicity 3)
S 0.0000 0.0000 0.2577 (multiplicity 6)
S 0.0126 0.2640 0.9175 (multiplicity 18)